Entry 1:
Computed PXRD pattern
Compound: Li2MnCo2O6
Radiation: Cu Ka
Structure: a structure optimized by DFT (PBE+U)
Lines closer than 0.1° are merged.

Top 6 peaks for 10° ≤ 2θ ≤ 80°, by angle:
2θ/deg, Rel. int.
18.06, 100
35.23, 15
36.00, 11
42.47, 22
43.35, 20
44.37, 19

Cell and atoms:
Cell: 5.732 5.955 6.720 Å, 76.14 78.17 88.74°
Atoms (fractional coordinates):
Li 0.000 0.000 0.000
Li 0.184 0.656 0.351
Li 0.500 0.000 0.000
Li 0.816 0.344 0.649
Mn 0.000 0.500 0.000
Mn 0.500 0.500 0.000
Co 0.169 0.170 0.335
Co 0.331 0.841 0.658
Co 0.669 0.159 0.342
Co 0.831 0.830 0.665
O 0.061 0.597 0.691
O 0.071 0.045 0.673
O 0.247 0.722 0.000
O 0.254 0.283 0.996
O 0.403 0.938 0.343
O 0.421 0.392 0.304
O 0.579 0.608 0.696
O 0.597 0.062 0.657
O 0.746 0.717 0.004
O 0.753 0.278 0.000
O 0.929 0.955 0.327
O 0.939 0.403 0.309

Entry 2:
Computed PXRD pattern
Compound: MnOF
Radiation: Cu Ka
Structure: a structure optimized by DFT (PBE+U)
Lines closer than 0.1° are merged.

Top 6 peaks for 10° ≤ 2θ ≤ 80°, by angle:
2θ/deg, Rel. int.
26.03, 100
27.09, 97
34.44, 48
34.61, 55
51.80, 31
66.80, 28

Cell and atoms:
Cell: 4.788 3.104 14.134 Å, 90.00 92.25 90.00°
Atoms (fractional coordinates):
Mn 0.000 0.000 0.000
Mn 0.047 0.000 0.332
Mn 0.410 0.500 0.832
Mn 0.500 0.500 0.500
Mn 0.590 0.500 0.168
Mn 0.953 0.000 0.668
O 0.167 0.500 0.935
O 0.237 0.000 0.768
O 0.324 0.000 0.434
O 0.676 0.000 0.566
O 0.763 0.000 0.232
O 0.833 0.500 0.065
F 0.157 0.500 0.606
F 0.260 0.500 0.264
F 0.358 0.000 0.106
F 0.642 0.000 0.894
F 0.740 0.500 0.736
F 0.843 0.500 0.394

Entry 3:
Computed PXRD pattern
Compound: Li3Mn4B4O12
Radiation: Cu Ka
Structure: a structure optimized by DFT (PBE+U)
Lines closer than 0.1° are merged.

Top 6 peaks for 10° ≤ 2θ ≤ 80°, by angle:
2θ/deg, Rel. int.
20.20, 59
20.76, 17
21.96, 31
22.68, 46
34.05, 100
40.72, 23

Cell and atoms:
Cell: 6.185 9.168 9.265 Å, 81.19 82.32 77.07°
Atoms (fractional coordinates):
Li 0.022 0.196 0.286
Li 0.214 0.309 0.466
Li 0.295 0.686 0.048
Li 0.705 0.314 0.952
Li 0.786 0.691 0.534
Li 0.978 0.804 0.714
Mn 0.010 0.119 0.741
Mn 0.233 0.372 0.003
Mn 0.278 0.623 0.479
Mn 0.488 0.894 0.765
Mn 0.512 0.106 0.235
Mn 0.722 0.377 0.521
Mn 0.767 0.628 0.997
Mn 0.990 0.881 0.259
B 0.005 0.461 0.734
B 0.220 0.041 0.015
B 0.234 0.968 0.484
B 0.491 0.554 0.765
B 0.509 0.446 0.235
B 0.766 0.032 0.516
B 0.780 0.959 0.985
B 0.995 0.539 0.266
O 0.022 0.342 0.653
O 0.038 0.600 0.665
O 0.061 0.561 0.116
O 0.192 0.898 0.073
O 0.195 0.938 0.638
O 0.216 0.855 0.403
O 0.217 0.150 0.103
O 0.266 0.073 0.862
O 0.276 0.103 0.419
O 0.448 0.422 0.388
O 0.463 0.415 0.829
O 0.475 0.671 0.849
O 0.525 0.329 0.151
O 0.537 0.585 0.171
O 0.552 0.578 0.612
O 0.724 0.897 0.581
O 0.734 0.927 0.138
O 0.783 0.850 0.897
O 0.784 0.145 0.597
O 0.805 0.062 0.362
O 0.808 0.102 0.927
O 0.939 0.439 0.884
O 0.962 0.400 0.335
O 0.978 0.658 0.347

Entry 4:
Computed PXRD pattern
Compound: Rb2FeH2Cl5O
Radiation: Cu Ka
Structure: a structure optimized by DFT (PBE+U)
Lines closer than 0.1° are merged.

Top 6 peaks for 10° ≤ 2θ ≤ 80°, by angle:
2θ/deg, Rel. int.
15.14, 29
15.40, 30
25.08, 47
31.09, 63
31.26, 100
35.85, 50

Cell and atoms:
Cell: 14.054 10.019 7.208 Å, 90.00 90.00 90.00°
Atoms (fractional coordinates):
Rb 0.143 0.000 0.155
Rb 0.143 0.500 0.155
Rb 0.357 0.000 0.655
Rb 0.357 0.500 0.655
Rb 0.643 0.000 0.345
Rb 0.643 0.500 0.345
Rb 0.857 0.000 0.845
Rb 0.857 0.500 0.845
Fe 0.115 0.250 0.691
Fe 0.385 0.750 0.191
Fe 0.615 0.250 0.809
Fe 0.885 0.750 0.309
H 0.035 0.670 0.547
H 0.035 0.830 0.547
H 0.465 0.170 0.047
H 0.465 0.330 0.047
H 0.535 0.670 0.953
H 0.535 0.830 0.953
H 0.965 0.170 0.453
H 0.965 0.330 0.453
Cl 0.007 0.250 0.953
Cl 0.104 0.009 0.676
Cl 0.104 0.491 0.676
Cl 0.221 0.250 0.431
Cl 0.246 0.250 0.898
Cl 0.254 0.750 0.398
Cl 0.279 0.750 0.931
Cl 0.396 0.509 0.176
Cl 0.396 0.991 0.176
Cl 0.493 0.750 0.453
Cl 0.507 0.250 0.547
Cl 0.604 0.009 0.824
Cl 0.604 0.491 0.824
Cl 0.721 0.250 0.069
Cl 0.746 0.250 0.602
Cl 0.754 0.750 0.102
Cl 0.779 0.750 0.569
Cl 0.896 0.509 0.324
Cl 0.896 0.991 0.324
Cl 0.993 0.750 0.047
O 0.005 0.750 0.494
O 0.495 0.250 0.994
O 0.505 0.750 0.006
O 0.995 0.250 0.506

Entry 5:
Computed PXRD pattern
Compound: Li4Mn3Fe3Ni2O16
Radiation: Cu Ka
Structure: a structure optimized by DFT (PBE+U)
Lines closer than 0.1° are merged.

Top 6 peaks for 10° ≤ 2θ ≤ 80°, by angle:
2θ/deg, Rel. int.
18.48, 61
19.80, 100
35.96, 39
36.69, 33
40.24, 29
45.67, 48

Cell and atoms:
Cell: 5.861 5.861 9.604 Å, 90.19 90.19 59.82°
Atoms (fractional coordinates):
Li 0.000 0.000 0.000
Li 0.001 0.001 0.499
Li 0.333 0.333 0.606
Li 0.667 0.667 0.106
Mn 0.170 0.170 0.284
Mn 0.338 0.831 0.783
Mn 0.831 0.338 0.783
Fe 0.169 0.662 0.284
Fe 0.662 0.169 0.284
Fe 0.832 0.832 0.783
Ni 0.333 0.333 0.009
Ni 0.667 0.667 0.510
O 0.007 0.007 0.184
O 0.007 0.007 0.684
O 0.037 0.479 0.165
O 0.158 0.158 0.892
O 0.162 0.680 0.891
O 0.321 0.842 0.393
O 0.327 0.327 0.397
O 0.479 0.037 0.165
O 0.482 0.482 0.165
O 0.515 0.963 0.666
O 0.519 0.519 0.665
O 0.659 0.659 0.892
O 0.680 0.162 0.891
O 0.839 0.839 0.393
O 0.842 0.321 0.393
O 0.963 0.515 0.666